1.
Theoretical powder XRD pattern of Li2VSiO4 for Cu Kα, 1.54184 Å, from a PBE+U-relaxed structure.

Crystal structure
Lattice parameters (Å, degrees): 10.5991 6.7178 4.9094 90.00 90.00 90.00
Space group Pnma (No. 62)
One atom of each set of equivalent atoms:
Li1 0.0900 0.0011 0.1833
V1 0.1530 0.7500 0.6944
Si1 0.1642 0.2500 0.6686
O1 0.0946 0.0457 0.7785
O2 0.1579 0.2500 0.3316
O3 0.1838 0.7500 0.2555

Principal peaks in the range 5° ≤ 2θ ≤ 70°, in order of falling intensity:
d/Å, I/Imax, index
3.602, 100, 2 0 1
2.455, 67, 0 0 2
3.359, 58, 0 2 0
2.837, 54, 2 2 0
2.650, 51, 4 0 0
5.300, 35, 2 0 0
1.563, 33, 6 2 0
1.679, 21, 0 4 0
2.682, 19, 1 2 1
2.181, 19, 3 2 1
2.868, 19, 3 0 1
1.358, 18, 3 2 3

---

2.
Theoretical powder XRD pattern of Li2VSiO5 for Cu Kα, 1.54184 Å, from a PBE+U-relaxed structure.

Crystal structure
Lattice parameters (Å, degrees): 6.4250 6.4250 4.5403 90.00 90.00 90.00
Space group P4/nmm (No. 129, origin choice 2)
One atom of each set of equivalent atoms:
Li1 0.0000 0.0000 0.0000
V1 0.2500 0.2500 0.4166
Si1 0.2500 0.7500 0.5000
O1 0.0445 0.7500 0.7167
O2 0.2500 0.2500 0.7869

Principal peaks in the range 5° ≤ 2θ ≤ 70°, in order of falling intensity:
d/Å, I/Imax, index
3.212, 100, 2 0 0
4.541, 88, 0 0 1
2.622, 84, 2 0 1
1.606, 53, 4 0 0
3.708, 38, 1 0 1
2.032, 29, 3 1 0
2.140, 25, 1 0 2
1.370, 22, 4 2 1
1.937, 20, 3 0 1
1.514, 19, 3 3 0
2.428, 16, 2 1 1
1.558, 11, 3 0 2

---

Question: Which formula does entry 1 have?
Answer: Li2VSiO4

---

Please write out number 1 again, unchanged.
Theoretical powder XRD pattern of Li2VSiO4 for Cu Kα, 1.54184 Å, from a PBE+U-relaxed structure.

Crystal structure
Lattice parameters (Å, degrees): 10.5991 6.7178 4.9094 90.00 90.00 90.00
Space group Pnma (No. 62)
One atom of each set of equivalent atoms:
Li1 0.0900 0.0011 0.1833
V1 0.1530 0.7500 0.6944
Si1 0.1642 0.2500 0.6686
O1 0.0946 0.0457 0.7785
O2 0.1579 0.2500 0.3316
O3 0.1838 0.7500 0.2555

Principal peaks in the range 5° ≤ 2θ ≤ 70°, in order of falling intensity:
d/Å, I/Imax, index
3.602, 100, 2 0 1
2.455, 67, 0 0 2
3.359, 58, 0 2 0
2.837, 54, 2 2 0
2.650, 51, 4 0 0
5.300, 35, 2 0 0
1.563, 33, 6 2 0
1.679, 21, 0 4 0
2.682, 19, 1 2 1
2.181, 19, 3 2 1
2.868, 19, 3 0 1
1.358, 18, 3 2 3